The following is a theoretical powder diffraction line list of AlV3Mo3. It was derived from a DFT-relaxed cell (GGA-PBE, Alexandria), using λ = 1.5418 Å (Cu Kα).
Kinematic intensities with the Lorentz-polarization factor, no thermal factor.

Crystal structure
Lattice parameters (Å, degrees): 5.355 6.688 6.749 118.38 97.84 97.25
Sites, in units of the cell vectors:
Al: 0.032 0.272 0.423
Al: 0.968 0.728 0.577
V: 0.118 0.848 0.277
V: 0.253 0.008 0.010
V: 0.465 0.715 0.571
V: 0.535 0.285 0.429
V: 0.747 0.992 0.990
V: 0.882 0.152 0.723
Mo: 0.179 0.431 0.148
Mo: 0.321 0.579 0.855
Mo: 0.380 0.135 0.707
Mo: 0.620 0.865 0.293
Mo: 0.679 0.421 0.145
Mo: 0.821 0.569 0.852

The 10 most intense peaks (2θ from 10° to 90°), low angle first:
5.777 Å, I = 175, hkl 0 1 -1
2.190 Å, I = 701, hkl 2 1 -2
2.186 Å, I = 346, hkl 2 0 1
2.174 Å, I = 1000, hkl 0 3 -2
1.543 Å, I = 210, hkl -2 1 3
1.541 Å, I = 105, hkl 2 -3 3
1.263 Å, I = 107, hkl 2 -1 4
1.261 Å, I = 211, hkl 0 4 -5
1.260 Å, I = 105, hkl 4 -2 1
1.252 Å, I = 152, hkl 2 -5 2